The following is a simulated powder diffractogram of LiPrSn. It was derived from a DFT-relaxed cell (GGA-PBE, the Materials Project), using Cu Kα.

Peak list (10 most intense, 2θ from 10° to 90°, in order of rising 2θ)
- 21.38°, I = 19.3
- 24.29°, I = 48.2
- 31.54°, I = 100.0
- 37.48°, I = 53.4
- 41.09°, I = 11.7
- 45.17°, I = 9.6
- 49.77°, I = 25.9
- 61.44°, I = 22.2
- 63.94°, I = 25.5
- 88.50°, I = 10.9

Cell and atoms:
abc: 9.5976 9.5976 7.7643
angles: 90.00 90.00 120.00
Positions (direct):
Li  0.1663  0.3327  0.0000
Li  0.1663  0.8337  0.0000
Li  0.3327  0.1663  0.5000
Li  0.3333  0.6667  0.6278
Li  0.6667  0.3333  0.1278
Li  0.6673  0.8337  0.0000
Li  0.8337  0.1663  0.5000
Li  0.8337  0.6673  0.5000
Pr  0.0000  0.0000  0.2855
Pr  0.0000  0.0000  0.7855
Pr  0.0257  0.5129  0.2925
Pr  0.4871  0.5129  0.2925
Pr  0.4871  0.9743  0.2925
Pr  0.5129  0.0257  0.7925
Pr  0.5129  0.4871  0.7925
Pr  0.9743  0.4871  0.7925
Sn  0.1670  0.3341  0.5593
Sn  0.1670  0.8330  0.5593
Sn  0.3333  0.6667  0.0178
Sn  0.3341  0.1670  0.0593
Sn  0.6659  0.8330  0.5593
Sn  0.6667  0.3333  0.5178
Sn  0.8330  0.1670  0.0593
Sn  0.8330  0.6659  0.0593



The following is a simulated powder diffractogram of DyCrSe3. It was derived from a DFT-relaxed cell (GGA-PBE, the Materials Project), using Cu Kα.

Peak list (10 most intense, 2θ from 10° to 90°, in order of rising 2θ)
- 32.38°, I = 84.4
- 32.52°, I = 54.0
- 34.48°, I = 100.0
- 34.73°, I = 30.6
- 35.41°, I = 21.9
- 35.54°, I = 44.1
- 37.26°, I = 21.9
- 41.17°, I = 38.8
- 46.69°, I = 40.1
- 59.99°, I = 31.0

Cell and atoms:
abc: 8.2303 3.8906 13.2703
angles: 90.00 90.00 90.00
Positions (direct):
Dy  0.0798  0.2500  0.1717
Dy  0.4202  0.7500  0.6717
Dy  0.5798  0.2500  0.3283
Dy  0.9202  0.7500  0.8283
Cr  0.1641  0.7500  0.4513
Cr  0.3359  0.2500  0.9513
Cr  0.6641  0.7500  0.0487
Cr  0.8359  0.2500  0.5487
Se  0.0061  0.7500  0.6107
Se  0.1529  0.7500  0.0084
Se  0.1973  0.2500  0.7836
Se  0.3027  0.7500  0.2836
Se  0.3471  0.2500  0.5084
Se  0.4939  0.2500  0.1107
Se  0.5061  0.7500  0.8893
Se  0.6529  0.7500  0.4916
Se  0.6973  0.2500  0.7164
Se  0.8027  0.7500  0.2164
Se  0.8471  0.2500  0.9916
Se  0.9939  0.2500  0.3893



The following is a simulated powder diffractogram of Ba4Ge2PbS8Br2. It was derived from a DFT-relaxed cell (GGA-PBE, the Materials Project), using Cu Kα.

Peak list (10 most intense, 2θ from 10° to 90°, in order of rising 2θ)
- 11.94°, I = 25.9
- 13.62°, I = 23.2
- 22.63°, I = 22.8
- 24.06°, I = 32.8
- 25.97°, I = 22.6
- 28.42°, I = 100.0
- 30.83°, I = 21.0
- 31.05°, I = 36.4
- 31.19°, I = 27.7
- 38.51°, I = 41.1

Cell and atoms:
abc: 9.3490 12.1572 9.0482
angles: 90.00 90.00 90.00
Positions (direct):
Ba  0.2412  0.0804  0.0000
Ba  0.2428  0.5769  0.7104
Ba  0.2572  0.4231  0.2104
Ba  0.2588  0.9196  0.5000
Ba  0.7412  0.9196  0.5000
Ba  0.7428  0.4231  0.2104
Ba  0.7572  0.5769  0.7104
Ba  0.7588  0.0804  0.0000
Ge  0.0000  0.3401  0.9110
Ge  0.0000  0.8511  0.8040
Ge  0.5000  0.1489  0.3040
Ge  0.5000  0.6599  0.4110
Pb  0.0000  0.7316  0.1439
Pb  0.5000  0.2684  0.6439
S  0.0000  0.0280  0.7417
S  0.0000  0.2472  0.1251
S  0.0000  0.5247  0.9759
S  0.0000  0.7525  0.5965
S  0.1957  0.8094  0.9342
S  0.2124  0.3145  0.8115
S  0.2876  0.6855  0.3115
S  0.3043  0.1906  0.4342
S  0.5000  0.2475  0.0965
S  0.5000  0.4753  0.4759
S  0.5000  0.7528  0.6251
S  0.5000  0.9720  0.2417
S  0.6957  0.1906  0.4342
S  0.7124  0.6855  0.3115
S  0.7876  0.3145  0.8115
S  0.8043  0.8094  0.9342
Br  0.0000  0.4662  0.4624
Br  0.0000  0.9741  0.2553
Br  0.5000  0.0259  0.7553
Br  0.5000  0.5338  0.9624



The following is a simulated powder diffractogram of GdNiGe3. It was derived from a DFT-relaxed cell (GGA-PBE, the Materials Project), using Cu Kα.

Peak list (10 most intense, 2θ from 10° to 90°, in order of rising 2θ)
- 33.05°, I = 100.0
- 33.11°, I = 8.3
- 37.11°, I = 9.6
- 43.52°, I = 17.2
- 43.73°, I = 20.0
- 43.87°, I = 19.8
- 55.86°, I = 12.5
- 63.50°, I = 10.9
- 63.67°, I = 12.8
- 73.71°, I = 12.8

Cell and atoms:
abc: 11.0192 11.0192 4.1278
angles: 90.00 90.00 158.34
Positions (direct):
Gd  0.1684  0.8316  0.0000
Gd  0.8316  0.1684  0.0000
Ni  0.3898  0.6102  0.5000
Ni  0.6102  0.3898  0.5000
Ge  0.0573  0.9427  0.5000
Ge  0.2835  0.7165  0.5000
Ge  0.4428  0.5572  0.0000
Ge  0.5572  0.4428  0.0000
Ge  0.7165  0.2835  0.5000
Ge  0.9427  0.0573  0.5000



The following is a simulated powder diffractogram of EuGaPt. It was derived from a DFT-relaxed cell (GGA-PBE, the Materials Project), using Cu Kα.

Peak list (10 most intense, 2θ from 10° to 90°, in order of rising 2θ)
- 25.80°, I = 32.2
- 32.93°, I = 71.7
- 33.45°, I = 100.0
- 33.83°, I = 31.8
- 38.59°, I = 42.3
- 39.58°, I = 48.9
- 40.56°, I = 57.8
- 56.47°, I = 28.0
- 65.21°, I = 33.2
- 71.86°, I = 18.6

Cell and atoms:
abc: 7.3497 4.5543 7.6459
angles: 90.00 90.00 90.00
Positions (direct):
Eu  0.0091  0.2500  0.1913
Eu  0.4909  0.7500  0.6913
Eu  0.5091  0.2500  0.3087
Eu  0.9909  0.7500  0.8087
Ga  0.1796  0.2500  0.5906
Ga  0.3204  0.7500  0.0906
Ga  0.6796  0.2500  0.9094
Ga  0.8204  0.7500  0.4094
Pt  0.1872  0.7500  0.4120
Pt  0.3128  0.2500  0.9120
Pt  0.6872  0.7500  0.0880
Pt  0.8128  0.2500  0.5880



The following is a simulated powder diffractogram of MgMn5N4. It was derived from a DFT-relaxed cell (GGA-PBE, the Materials Project), using Cu Kα.

Peak list (10 most intense, 2θ from 10° to 90°, in order of rising 2θ)
- 23.81°, I = 19.8
- 29.34°, I = 25.0
- 37.34°, I = 86.4
- 38.02°, I = 42.9
- 38.96°, I = 37.4
- 42.69°, I = 100.0
- 48.77°, I = 23.3
- 52.64°, I = 18.9
- 55.59°, I = 56.7
- 77.18°, I = 19.3

Cell and atoms:
abc: 6.0876 7.1055 4.7331
angles: 90.00 90.00 90.00
Positions (direct):
Mg  0.2500  0.2500  0.2257
Mg  0.7500  0.7500  0.7743
Mn  0.0290  0.0726  0.7561
Mn  0.0290  0.4274  0.7561
Mn  0.2500  0.7500  0.8212
Mn  0.4710  0.0726  0.7561
Mn  0.4710  0.4274  0.7561
Mn  0.5290  0.5726  0.2439
Mn  0.5290  0.9274  0.2439
Mn  0.7500  0.2500  0.1788
Mn  0.9710  0.5726  0.2439
Mn  0.9710  0.9274  0.2439
N  0.0359  0.7500  0.5308
N  0.2500  0.5215  0.0393
N  0.2500  0.9785  0.0393
N  0.4641  0.7500  0.5308
N  0.5359  0.2500  0.4692
N  0.7500  0.0215  0.9607
N  0.7500  0.4785  0.9607
N  0.9641  0.2500  0.4692



The following is a simulated powder diffractogram of CePO4. It was derived from a DFT-relaxed cell (GGA-PBE, the Materials Project), using Cu Kα.

Peak list (10 most intense, 2θ from 10° to 90°, in order of rising 2θ)
- 18.71°, I = 44.0
- 24.65°, I = 100.0
- 31.13°, I = 20.0
- 33.47°, I = 64.7
- 35.14°, I = 20.2
- 40.11°, I = 20.3
- 47.65°, I = 20.6
- 49.32°, I = 51.7
- 50.55°, I = 13.6
- 62.00°, I = 14.8

Cell and atoms:
abc: 5.9969 5.9969 5.9969
angles: 105.95 105.95 116.77
Positions (direct):
Ce  0.3750  0.6250  0.7500
Ce  0.6250  0.3750  0.2500
P  0.1250  0.8750  0.2500
P  0.8750  0.1250  0.7500
O  0.1424  0.7225  0.4199
O  0.1974  0.2775  0.9199
O  0.2775  0.1974  0.4199
O  0.2775  0.8576  0.0801
O  0.7225  0.1424  0.9199
O  0.7225  0.8026  0.5801
O  0.8026  0.7225  0.0801
O  0.8576  0.2775  0.5801



The following is a simulated powder diffractogram of CsNdNb2O7. It was derived from a DFT-relaxed cell (GGA-PBE, the Materials Project), using Cu Kα.

Peak list (10 most intense, 2θ from 10° to 90°, in order of rising 2θ)
- 27.60°, I = 100.0
- 31.20°, I = 9.0
- 32.15°, I = 19.6
- 32.56°, I = 18.3
- 38.95°, I = 11.8
- 45.41°, I = 8.4
- 45.72°, I = 8.5
- 46.41°, I = 18.9
- 54.58°, I = 14.4
- 55.12°, I = 15.6

Cell and atoms:
abc: 11.4671 5.5002 5.5682
angles: 90.00 90.00 90.00
Positions (direct):
Cs  0.0000  0.2393  0.0000
Cs  0.0000  0.7607  0.5000
Nd  0.5000  0.2496  0.0332
Nd  0.5000  0.7504  0.5332
Nb  0.2997  0.2489  0.4929
Nb  0.2997  0.7511  0.9929
Nb  0.7003  0.2489  0.4929
Nb  0.7003  0.7511  0.9929
O  0.1450  0.3016  0.4989
O  0.1450  0.6984  0.9989
O  0.3095  0.0537  0.1777
O  0.3095  0.9463  0.6777
O  0.3581  0.4661  0.7620
O  0.3581  0.5339  0.2620
O  0.5000  0.1708  0.4581
O  0.5000  0.8292  0.9581
O  0.6419  0.4661  0.7620
O  0.6419  0.5339  0.2620
O  0.6905  0.0537  0.1777
O  0.6905  0.9463  0.6777
O  0.8550  0.3016  0.4989
O  0.8550  0.6984  0.9989